# 1
For Li7Mn4CoO12, a DFT-relaxed cell (PBE+U, the Materials Project) gives the computed powder diffraction line list in this record (Cu Kα (weighted mean of Kα1 and Kα2)).
No peak broadening, texture or thermal motion is included.

a = 7.9173 Å, b = 7.9173 Å, c = 19.6082 Å
α = 99.14°, β = 99.14°, γ = 21.02°
Positions (direct):
Li  0.0000  0.0000  0.0000
Li  0.0019  0.0019  0.5004
Li  0.0780  0.0780  0.8773
Li  0.0855  0.0855  0.3765
Li  0.2465  0.2465  0.1264
Li  0.2491  0.2491  0.6243
Li  0.4292  0.4292  0.3800
Li  0.4350  0.4350  0.8804
Li  0.5723  0.5723  0.1194
Li  0.5741  0.5741  0.6219
Li  0.7516  0.7516  0.8734
Li  0.7551  0.7551  0.3733
Li  0.9158  0.9158  0.1226
Li  0.9192  0.9192  0.6239
Mn  0.1628  0.1628  0.7454
Mn  0.1649  0.1649  0.2476
Mn  0.3382  0.3382  0.0013
Mn  0.3398  0.3398  0.5021
Mn  0.6632  0.6632  0.4975
Mn  0.6626  0.6626  0.9981
Mn  0.8364  0.8364  0.2520
Mn  0.8378  0.8378  0.7514
Co  0.5003  0.5003  0.7533
Co  0.5006  0.5006  0.2497
O  0.0314  0.0314  0.1917
O  0.0489  0.0489  0.6922
O  0.1316  0.1316  0.0552
O  0.1330  0.1330  0.5546
O  0.2113  0.2113  0.9464
O  0.2129  0.2129  0.4464
O  0.2840  0.2840  0.8007
O  0.3026  0.3026  0.3104
O  0.3679  0.3679  0.1931
O  0.3691  0.3691  0.6922
O  0.4440  0.4440  0.0572
O  0.4452  0.4452  0.5586
O  0.5573  0.5573  0.9425
O  0.5576  0.5576  0.4418
O  0.6334  0.6334  0.3065
O  0.6345  0.6345  0.8044
O  0.6989  0.6989  0.1893
O  0.6986  0.6986  0.6896
O  0.7894  0.7894  0.0530
O  0.7903  0.7903  0.5533
O  0.8678  0.8678  0.9439
O  0.8708  0.8708  0.4452
O  0.9597  0.9597  0.8154
O  0.9699  0.9699  0.3078

Main lines, in order of falling intensity (15° ≤ 2θ ≤ 90°):
2θ/deg  I_rel
18.34  100
43.85  58
42.53  30
36.17  25
62.90  23
35.04  16
62.60  15
57.76  10
47.57  9
64.53  8
80.39  7
37.65  6

***

# 2
For Li7Mn2Co3O12, a DFT-relaxed cell (PBE+U, the Materials Project) gives the computed powder diffraction line list in this record (Cu Kα (weighted mean of Kα1 and Kα2)).
No peak broadening, texture or thermal motion is included.

a = 5.1314 Å, b = 2.9218 Å, c = 14.4204 Å
α = 90.00°, β = 90.26°, γ = 90.00°
Positions (direct):
Li  0.0000  0.0000  0.0000
Li  0.0000  0.0000  0.5000
Li  0.1707  0.5000  0.3335
Li  0.3289  0.0000  0.1617
Li  0.5000  0.5000  0.0000
Li  0.6711  0.0000  0.8383
Li  0.8293  0.5000  0.6665
Mn  0.1551  0.5000  0.8385
Mn  0.8449  0.5000  0.1615
Co  0.3308  0.0000  0.6672
Co  0.5000  0.5000  0.5000
Co  0.6692  0.0000  0.3328
O  0.0187  0.0000  0.7574
O  0.1390  0.5000  0.0919
O  0.1795  0.5000  0.5870
O  0.3182  0.0000  0.9065
O  0.3506  0.0000  0.4198
O  0.4657  0.5000  0.7475
O  0.5343  0.5000  0.2525
O  0.6494  0.0000  0.5802
O  0.6818  0.0000  0.0935
O  0.8205  0.5000  0.4130
O  0.8610  0.5000  0.9081
O  0.9813  0.0000  0.2426

Main lines, in order of falling intensity (15° ≤ 2θ ≤ 90°):
2θ/deg  I_rel
18.38  100
43.65  56
43.19  28
35.96  28
63.19  22
62.97  15
35.64  13
57.59  10
47.56  8
63.70  8
37.53  7
80.08  7

***

# 3
For Li4MnCo2O7, a DFT-relaxed cell (PBE+U, the Materials Project) gives the computed powder diffraction line list in this record (Cu Kα (weighted mean of Kα1 and Kα2)).
No peak broadening, texture or thermal motion is included.

a = 9.8233 Å, b = 9.8233 Å, c = 9.7705 Å
α = 114.32°, β = 114.32°, γ = 17.14°
Positions (direct):
Li  0.0000  0.0000  0.0000
Li  0.0698  0.0698  0.7914
Li  0.2131  0.2131  0.3555
Li  0.3619  0.3619  0.9356
Li  0.5000  0.5000  0.5000
Li  0.6381  0.6381  0.0644
Li  0.7869  0.7869  0.6445
Li  0.9302  0.9302  0.2086
Mn  0.4324  0.4324  0.7250
Mn  0.5676  0.5676  0.2750
Co  0.1436  0.1436  0.5711
Co  0.2859  0.2859  0.1433
Co  0.7141  0.7141  0.8567
Co  0.8564  0.8564  0.4289
O  0.0414  0.0414  0.3850
O  0.1038  0.1038  0.1916
O  0.1827  0.1827  0.9606
O  0.2457  0.2457  0.7531
O  0.3289  0.3289  0.5389
O  0.3885  0.3885  0.3291
O  0.4727  0.4727  0.1241
O  0.5273  0.5273  0.8759
O  0.6115  0.6115  0.6709
O  0.6711  0.6711  0.4611
O  0.7543  0.7543  0.2469
O  0.8173  0.8173  0.0394
O  0.8962  0.8962  0.8084
O  0.9586  0.9586  0.6150

Main lines, in order of falling intensity (15° ≤ 2θ ≤ 90°):
2θ/deg  I_rel
18.34  100
43.52  55
43.38  27
35.92  26
62.95  22
63.30  15
35.77  13
47.56  13
57.40  9
63.57  8
80.10  7
37.54  7

***

# 4
For Li4MnCo2O7, a DFT-relaxed cell (PBE+U, the Materials Project) gives the computed powder diffraction line list in this record (Cu Kα (weighted mean of Kα1 and Kα2)).
No peak broadening, texture or thermal motion is included.

a = 5.0769 Å, b = 5.9171 Å, c = 8.7590 Å
α = 90.84°, β = 95.02°, γ = 106.21°
Positions (direct):
Li  0.0000  0.0000  0.0000
Li  0.0060  0.5043  0.0044
Li  0.1313  0.7863  0.2755
Li  0.2917  0.0751  0.5745
Li  0.4213  0.3483  0.8625
Li  0.5767  0.6440  0.1389
Li  0.7120  0.9301  0.4288
Li  0.8586  0.2086  0.7215
Mn  0.4278  0.8619  0.8602
Mn  0.7125  0.4270  0.4302
Co  0.1434  0.2790  0.2750
Co  0.2847  0.5715  0.5717
Co  0.5756  0.1295  0.1412
Co  0.8570  0.7186  0.7251
O  0.1547  0.0135  0.7849
O  0.1615  0.5554  0.7822
O  0.2901  0.3133  0.0887
O  0.3017  0.8269  0.0604
O  0.4364  0.5905  0.3727
O  0.4391  0.1291  0.3619
O  0.5616  0.8803  0.6545
O  0.5802  0.4060  0.6298
O  0.6860  0.1559  0.9272
O  0.7010  0.6849  0.9127
O  0.8481  0.4550  0.2273
O  0.8480  0.9808  0.2161
O  0.9805  0.7237  0.5058
O  0.9913  0.2707  0.4926

Main lines, in order of falling intensity (15° ≤ 2θ ≤ 90°):
2θ/deg  I_rel
18.30  100
43.24  28
43.50  27
43.88  26
62.83  15
35.79  13
35.92  13
36.26  12
47.55  9
63.19  7
63.92  7
63.10  7

***

Copy entry 2 word for word.
For Li7Mn2Co3O12, a DFT-relaxed cell (PBE+U, the Materials Project) gives the computed powder diffraction line list in this record (Cu Kα (weighted mean of Kα1 and Kα2)).
No peak broadening, texture or thermal motion is included.

a = 5.1314 Å, b = 2.9218 Å, c = 14.4204 Å
α = 90.00°, β = 90.26°, γ = 90.00°
Positions (direct):
Li  0.0000  0.0000  0.0000
Li  0.0000  0.0000  0.5000
Li  0.1707  0.5000  0.3335
Li  0.3289  0.0000  0.1617
Li  0.5000  0.5000  0.0000
Li  0.6711  0.0000  0.8383
Li  0.8293  0.5000  0.6665
Mn  0.1551  0.5000  0.8385
Mn  0.8449  0.5000  0.1615
Co  0.3308  0.0000  0.6672
Co  0.5000  0.5000  0.5000
Co  0.6692  0.0000  0.3328
O  0.0187  0.0000  0.7574
O  0.1390  0.5000  0.0919
O  0.1795  0.5000  0.5870
O  0.3182  0.0000  0.9065
O  0.3506  0.0000  0.4198
O  0.4657  0.5000  0.7475
O  0.5343  0.5000  0.2525
O  0.6494  0.0000  0.5802
O  0.6818  0.0000  0.0935
O  0.8205  0.5000  0.4130
O  0.8610  0.5000  0.9081
O  0.9813  0.0000  0.2426

Main lines, in order of falling intensity (15° ≤ 2θ ≤ 90°):
2θ/deg  I_rel
18.38  100
43.65  56
43.19  28
35.96  28
63.19  22
62.97  15
35.64  13
57.59  10
47.56  8
63.70  8
37.53  7
80.08  7